Diffraction record for Mo2P4C14SNCl4. The powder X-ray diffraction pattern is calculated, not measured: it uses a GGA-PBE-relaxed structure and CuKα.

Atomic structure:
Unit cell a=8.777 b=9.674 c=18.375 alpha=99.13 beta=102.26 gamma=102.06
Space group P-1 (No. 2)
Symmetry-distinct sites (fractional):
Mo  0.147  0.130  0.250 [2 per cell]
Mo  0.260  0.373  0.192 [2 per cell]
P  0.182  0.282  0.398 [2 per cell]
P  0.224  0.949  0.328 [2 per cell]
P  0.335  0.169  0.104 [2 per cell]
P  0.499  0.430  0.779 [2 per cell]
C  0.029  0.320  0.440 [2 per cell]
C  0.034  0.459  0.477 [2 per cell]
C  0.116  0.733  0.093 [2 per cell]
C  0.129  0.858  0.134 [2 per cell]
C  0.158  0.453  0.441 [2 per cell]
C  0.224  0.381  0.774 [2 per cell]
C  0.297  0.007  0.428 [2 per cell]
C  0.303  0.361  0.715 [2 per cell]
C  0.337  0.159  0.996 [2 per cell]
C  0.349  0.342  0.821 [2 per cell]
C  0.427  0.974  0.387 [2 per cell]
C  0.449  0.824  0.888 [2 per cell]
C  0.450  0.000  0.465 [2 per cell]
C  0.484  0.215  0.045 [2 per cell]
S  0.411  0.277  0.280 [2 per cell]
N  0.143  0.979  0.176 [2 per cell]
Cl  0.022  0.759  0.831 [2 per cell]
Cl  0.077  0.000  0.708 [2 per cell]
Cl  0.183  0.566  0.259 [2 per cell]
Cl  0.225  0.420  0.069 [2 per cell]

Main lines, by angle (5° ≤ 2θ ≤ 70°):
hkl 0 0 1, 17.546 Å, rel. 188
hkl 0 1 -1, 9.006 Å, rel. 290
hkl 0 0 2, 8.773 Å, rel. 1000
hkl 1 0 -1, 8.365 Å, rel. 896
hkl 0 1 1, 7.545 Å, rel. 546
hkl 1 -1 0, 7.134 Å, rel. 652
hkl 1 0 1, 6.860 Å, rel. 875
hkl -1 1 2, 5.688 Å, rel. 432
hkl 1 1 0, 5.516 Å, rel. 209
hkl 1 -1 2, 5.390 Å, rel. 275